Record 1
For LaNbTeO6, a DFT-relaxed cell (GGA-PBE, Alexandria) gives the computed powder diffraction line list in this record (Cu Kα (λ = 1.5418 Å)).

Largest 10 diffraction maxima, in order of rising 2θ, 10° ≤ 2θ ≤ 90°:
| two_theta | I/Imax |
| --- | --- |
| 25.5 | 1000 |
| 26.6 | 575 |
| 28.7 | 763 |
| 29.0 | 733 |
| 29.8 | 357 |
| 31.4 | 417 |
| 31.5 | 353 |
| 32.6 | 304 |
| 46.9 | 248 |
| 48.6 | 267 |

Crystal structure
Lattice parameters (Å, degrees): 6.871 7.501 10.910 79.88 77.08 89.35
Fractional positions:
1 La 0.172 0.214 0.155
2 La 0.263 0.360 0.493
3 La 0.737 0.640 0.507
4 La 0.828 0.786 0.845
5 Nb 0.315 0.044 0.802
6 Nb 0.325 0.539 0.800
7 Nb 0.675 0.461 0.200
8 Nb 0.685 0.956 0.198
9 Te 0.171 0.698 0.202
10 Te 0.232 0.870 0.497
11 Te 0.768 0.130 0.503
12 Te 0.829 0.302 0.798
13 O 0.003 0.484 0.821
14 O 0.003 0.901 0.206
15 O 0.036 0.178 0.403
16 O 0.101 0.628 0.386
17 O 0.211 0.785 0.819
18 O 0.260 0.068 0.969
19 O 0.314 0.045 0.588
20 O 0.317 0.442 0.965
21 O 0.350 0.650 0.571
22 O 0.352 0.315 0.718
23 O 0.394 0.393 0.257
24 O 0.413 0.003 0.225
25 O 0.587 0.997 0.775
26 O 0.606 0.607 0.743
27 O 0.648 0.685 0.282
28 O 0.650 0.350 0.429
29 O 0.683 0.558 0.035
30 O 0.686 0.955 0.412
31 O 0.740 0.932 0.031
32 O 0.789 0.215 0.181
33 O 0.899 0.372 0.614
34 O 0.964 0.822 0.597
35 O 0.997 0.099 0.794
36 O 0.997 0.516 0.179

---

Record 2
For ScBi3S6, a DFT-relaxed cell (GGA-PBE, Alexandria) gives the computed powder diffraction line list in this record (Cu Kα (λ = 1.5418 Å)).

Largest 10 diffraction maxima, in order of rising 2θ, 10° ≤ 2θ ≤ 90°:
| two_theta | I/Imax |
| --- | --- |
| 15.9 | 980 |
| 23.3 | 671 |
| 25.4 | 326 |
| 26.1 | 1000 |
| 27.8 | 377 |
| 30.1 | 483 |
| 33.3 | 604 |
| 39.7 | 293 |
| 42.2 | 411 |
| 46.4 | 293 |

Crystal structure
Lattice parameters (Å, degrees): 11.478 3.914 11.528 90.00 104.86 90.00
Fractional positions:
1 Sc 0.035 0.250 0.177
2 Sc 0.965 0.750 0.823
3 Bi 0.150 0.250 0.589
4 Bi 0.299 0.750 0.013
5 Bi 0.417 0.250 0.335
6 Bi 0.583 0.750 0.665
7 Bi 0.701 0.250 0.987
8 Bi 0.850 0.750 0.411
9 S 0.070 0.750 0.381
10 S 0.093 0.250 0.959
11 S 0.177 0.750 0.751
12 S 0.215 0.750 0.207
13 S 0.421 0.250 0.599
14 S 0.461 0.250 0.116
15 S 0.539 0.750 0.884
16 S 0.579 0.750 0.401
17 S 0.785 0.250 0.793
18 S 0.823 0.250 0.249
19 S 0.907 0.750 0.041
20 S 0.930 0.250 0.619

---

Record 3
For AcPrSnSb, a DFT-relaxed cell (GGA-PBE, Alexandria) gives the computed powder diffraction line list in this record (Cu Kα (λ = 1.5418 Å)).

Largest 10 diffraction maxima, in order of rising 2θ, 10° ≤ 2θ ≤ 90°:
| two_theta | I/Imax |
| --- | --- |
| 19.1 | 35 |
| 22.1 | 46 |
| 31.5 | 1000 |
| 37.1 | 22 |
| 45.1 | 187 |
| 50.8 | 21 |
| 56.0 | 396 |
| 65.7 | 123 |
| 74.7 | 172 |
| 83.3 | 44 |

Crystal structure
Lattice parameters (Å, degrees): 5.684 5.684 5.684 60.00 60.00 60.00
Fractional positions:
1 Ac 0.000 0.000 0.000
2 Pr 0.500 0.500 0.500
3 Sn 0.750 0.750 0.750
4 Sb 0.250 0.250 0.250

---

Record 4
For Nd7Y3Tm, a DFT-relaxed cell (GGA-PBE, Alexandria) gives the computed powder diffraction line list in this record (Cu Kα (λ = 1.5418 Å)).

Largest 10 diffraction maxima, in order of rising 2θ, 10° ≤ 2θ ≤ 90°:
| two_theta | I/Imax |
| --- | --- |
| 28.7 | 307 |
| 29.3 | 327 |
| 31.0 | 793 |
| 31.5 | 559 |
| 31.6 | 1000 |
| 33.0 | 495 |
| 33.5 | 817 |
| 50.0 | 398 |
| 59.8 | 233 |
| 60.2 | 227 |

Crystal structure
Lattice parameters (Å, degrees): 7.209 10.324 12.574 66.43 73.40 69.59
Fractional positions:
1 Nd 0.079 0.307 0.025
2 Nd 0.081 0.807 0.528
3 Nd 0.206 0.750 0.250
4 Nd 0.338 0.543 0.774
5 Nd 0.344 0.043 0.274
6 Nd 0.412 0.193 0.475
7 Nd 0.416 0.693 0.972
8 Nd 0.584 0.307 0.028
9 Nd 0.588 0.807 0.525
10 Nd 0.656 0.957 0.726
11 Nd 0.662 0.457 0.226
12 Nd 0.794 0.250 0.750
13 Nd 0.919 0.193 0.472
14 Nd 0.921 0.693 0.975
15 Y 0.170 0.932 0.727
16 Y 0.173 0.432 0.227
17 Y 0.500 0.000 0.000
18 Y 0.500 0.500 0.500
19 Y 0.827 0.568 0.773
20 Y 0.830 0.068 0.273
21 Tm 0.000 0.000 0.000
22 Tm 0.000 0.500 0.500

---

Record 5
For LaCeCI, a DFT-relaxed cell (GGA-PBE, Alexandria) gives the computed powder diffraction line list in this record (Cu Kα (λ = 1.5418 Å)).

Largest 10 diffraction maxima, in order of rising 2θ, 10° ≤ 2θ ≤ 90°:
| two_theta | I/Imax |
| --- | --- |
| 26.9 | 400 |
| 30.6 | 920 |
| 32.7 | 1000 |
| 34.0 | 344 |
| 47.0 | 612 |
| 57.1 | 158 |
| 58.4 | 188 |
| 59.2 | 418 |
| 61.3 | 161 |
| 78.1 | 166 |

Crystal structure
Lattice parameters (Å, degrees): 8.220 8.220 8.220 27.23 27.23 27.23
Fractional positions:
1 La 0.000 0.000 0.000
2 Ce 0.783 0.783 0.783
3 C 0.398 0.398 0.398
4 I 0.222 0.222 0.222

---

Record 6
For TlCoRu, a DFT-relaxed cell (GGA-PBE, Alexandria) gives the computed powder diffraction line list in this record (Cu Kα (λ = 1.5418 Å)).

Largest 10 diffraction maxima, in order of rising 2θ, 10° ≤ 2θ ≤ 90°:
| two_theta | I/Imax |
| --- | --- |
| 24.1 | 401 |
| 25.4 | 1000 |
| 26.1 | 497 |
| 29.9 | 259 |
| 35.3 | 487 |
| 38.8 | 449 |
| 43.3 | 929 |
| 43.4 | 724 |
| 49.4 | 314 |
| 51.1 | 282 |

Crystal structure
Lattice parameters (Å, degrees): 3.574 3.690 9.132 90.00 100.91 90.00
Fractional positions:
1 Tl 0.088 0.000 0.162
2 Tl 0.912 0.000 0.838
3 Co 0.293 0.000 0.589
4 Co 0.707 0.000 0.411
5 Ru 0.203 0.500 0.403
6 Ru 0.797 0.500 0.597

---

Record 7
For La4PrH8, a DFT-relaxed cell (GGA-PBE, Alexandria) gives the computed powder diffraction line list in this record (Cu Kα (λ = 1.5418 Å)).

Largest 10 diffraction maxima, in order of rising 2θ, 10° ≤ 2θ ≤ 90°:
| two_theta | I/Imax |
| --- | --- |
| 14.6 | 240 |
| 20.7 | 212 |
| 25.5 | 697 |
| 29.5 | 1000 |
| 42.2 | 805 |
| 49.9 | 332 |
| 52.3 | 273 |
| 67.4 | 134 |
| 69.4 | 351 |
| 77.1 | 266 |

Crystal structure
Lattice parameters (Å, degrees): 6.057 6.057 6.057 90.00 90.00 90.00
Fractional positions:
1 La 0.000 0.000 0.000
2 La 0.000 0.500 0.500
3 La 0.500 0.000 0.500
4 La 0.500 0.500 0.000
5 Pr 0.500 0.500 0.500
6 H 0.263 0.263 0.263
7 H 0.263 0.263 0.737
8 H 0.263 0.737 0.263
9 H 0.263 0.737 0.737
10 H 0.737 0.263 0.263
11 H 0.737 0.263 0.737
12 H 0.737 0.737 0.263
13 H 0.737 0.737 0.737

---

Record 8
For RePt2O6, a DFT-relaxed cell (GGA-PBE, Alexandria) gives the computed powder diffraction line list in this record (Cu Kα (λ = 1.5418 Å)).

Largest 10 diffraction maxima, in order of rising 2θ, 10° ≤ 2θ ≤ 90°:
| two_theta | I/Imax |
| --- | --- |
| 27.2 | 1000 |
| 33.9 | 959 |
| 38.9 | 285 |
| 52.5 | 691 |
| 56.2 | 153 |
| 63.5 | 167 |
| 64.4 | 180 |
| 67.2 | 190 |
| 71.2 | 107 |
| 80.5 | 161 |

Crystal structure
Lattice parameters (Å, degrees): 4.630 4.630 9.682 90.00 90.00 90.00
Fractional positions:
1 Re 0.000 0.000 0.000
2 Re 0.500 0.500 0.500
3 Pt 0.000 0.000 0.333
4 Pt 0.000 0.000 0.667
5 Pt 0.500 0.500 0.167
6 Pt 0.500 0.500 0.833
7 O 0.187 0.187 0.161
8 O 0.187 0.187 0.839
9 O 0.205 0.205 0.500
10 O 0.295 0.705 0.000
11 O 0.313 0.687 0.339
12 O 0.313 0.687 0.661
13 O 0.687 0.313 0.339
14 O 0.687 0.313 0.661
15 O 0.705 0.295 0.000
16 O 0.795 0.795 0.500
17 O 0.813 0.813 0.161
18 O 0.813 0.813 0.839

---

- What is the formula in the fourth record?
  Nd7Y3Tm